(1)
The following is a simulated XRD peak list of CaPm2ReO8. It was derived from a crystal structure in Alexandria, relaxed with GGA-PBE, using Cu Kα (λ = 1.5418 Å).
Intensities are scaled so that the largest is 100.

Structural model:
abc: 5.1319 5.1319 7.0729
angles: 90.00 90.00 90.76
Fractional positions:
Ca 0.0000 0.0000 0.0000
Pm 0.5000 0.5000 0.2485
Pm 0.5000 0.5000 0.7515
Re 0.0000 0.0000 0.5000
O 0.1787 0.8213 0.3062
O 0.1787 0.8213 0.6938
O 0.2654 0.2654 0.5000
O 0.3085 0.3085 0.0000
O 0.6915 0.6915 0.0000
O 0.7346 0.7346 0.5000
O 0.8213 0.1787 0.3062
O 0.8213 0.1787 0.6938

Principal peaks in the range 2θ from 15° to 90°, sorted by position:
- 4.153 Å, I 28
- 3.653 Å, I 58
- 3.605 Å, I 53
- 2.912 Å, I 100
- 2.566 Å, I 27
- 1.932 Å, I 40
- 1.918 Å, I 37
- 1.592 Å, I 11
- 1.540 Å, I 22
- 1.456 Å, I 12


(2)
The following is a simulated XRD peak list of HoGa6Ag12. It was derived from a crystal structure in Alexandria, relaxed with GGA-PBE, using Cu Kα (λ = 1.5418 Å).
Intensities are scaled so that the largest is 100.

Structural model:
abc: 7.5291 7.5291 7.5291
angles: 105.62 105.62 105.62
Fractional positions:
Ho 0.0000 0.0000 0.0000
Ga 0.2801 0.2801 0.7027
Ga 0.2801 0.7027 0.2801
Ga 0.2973 0.7199 0.7199
Ga 0.7027 0.2801 0.2801
Ga 0.7199 0.2973 0.7199
Ga 0.7199 0.7199 0.2973
Ag 0.1168 0.5000 0.8832
Ag 0.1168 0.8832 0.5000
Ag 0.1362 0.3791 0.3791
Ag 0.3791 0.1362 0.3791
Ag 0.3791 0.3791 0.1362
Ag 0.5000 0.1168 0.8832
Ag 0.5000 0.8832 0.1168
Ag 0.6209 0.6209 0.8638
Ag 0.6209 0.8638 0.6209
Ag 0.8638 0.6209 0.6209
Ag 0.8832 0.1168 0.5000
Ag 0.8832 0.5000 0.1168

Principal peaks in the range 2θ from 15° to 90°, sorted by position:
- 2.740 Å, I 100
- 2.650 Å, I 63
- 2.415 Å, I 16
- 2.301 Å, I 37
- 2.247 Å, I 42
- 2.099 Å, I 34
- 2.037 Å, I 34
- 1.917 Å, I 17
- 1.881 Å, I 52
- 1.233 Å, I 14


(3)
The following is a simulated XRD peak list of LaTcN3. It was derived from a crystal structure in Alexandria, relaxed with GGA-PBE, using Cu Kα (λ = 1.5418 Å).
Intensities are scaled so that the largest is 100.

Structural model:
abc: 7.4423 7.4423 6.2741
angles: 103.14 103.14 87.09
Fractional positions:
La 0.0953 0.9047 0.7500
La 0.3225 0.6775 0.2500
La 0.6775 0.3225 0.7500
La 0.9047 0.0953 0.2500
Tc 0.2016 0.3806 0.7503
Tc 0.3806 0.2016 0.2503
Tc 0.6194 0.7984 0.7497
Tc 0.7984 0.6194 0.2497
N 0.0014 0.2315 0.6603
N 0.1431 0.6166 0.8576
N 0.2315 0.0014 0.1603
N 0.3307 0.3610 0.5139
N 0.3610 0.3307 0.0139
N 0.3834 0.8569 0.6424
N 0.6166 0.1431 0.3576
N 0.6390 0.6693 0.9861
N 0.6693 0.6390 0.4861
N 0.7685 0.9986 0.8397
N 0.8569 0.3834 0.1424
N 0.9986 0.7685 0.3397

Principal peaks in the range 2θ from 15° to 90°, sorted by position:
- 3.455 Å, I 100
- 3.240 Å, I 22
- 2.978 Å, I 63
- 2.830 Å, I 51
- 2.562 Å, I 21
- 2.338 Å, I 14
- 1.943 Å, I 12
- 1.931 Å, I 21
- 1.824 Å, I 13
- 1.758 Å, I 11


(4)
The following is a simulated XRD peak list of Sm5Ag2Rh2. It was derived from a crystal structure in Alexandria, relaxed with GGA-PBE, using Cu Kα (λ = 1.5418 Å).
Intensities are scaled so that the largest is 100.

Structural model:
abc: 10.9316 10.9316 10.9316
angles: 53.14 145.93 140.49
Fractional positions:
Sm 0.1284 0.0271 0.6013
Sm 0.1623 0.0764 0.2388
Sm 0.1623 0.4236 0.5859
Sm 0.4259 0.5271 0.3987
Sm 0.4765 0.7968 0.0029
Sm 0.4765 0.9736 0.1797
Sm 0.7939 0.2968 0.8203
Sm 0.7939 0.4736 0.9971
Sm 0.8377 0.5764 0.4141
Sm 0.8377 0.9236 0.7612
Ag 0.2205 0.4011 0.9337
Ag 0.2205 0.7867 0.3193
Ag 0.4674 0.2867 0.0663
Ag 0.4674 0.9011 0.6807
Rh 0.7019 0.2019 0.5000
Rh 0.7019 0.7019 0.0000
Rh 0.8849 0.1859 0.1990
Rh 0.9869 0.6859 0.8010

Principal peaks in the range 2θ from 15° to 90°, sorted by position:
- 3.338 Å, I 29
- 2.948 Å, I 24
- 2.906 Å, I 46
- 2.873 Å, I 72
- 2.703 Å, I 62
- 2.679 Å, I 100
- 2.477 Å, I 30
- 2.444 Å, I 49
- 2.349 Å, I 28
- 2.299 Å, I 36


(5)
The following is a simulated XRD peak list of DyMg11Rh. It was derived from a crystal structure in Alexandria, relaxed with GGA-PBE, using Cu Kα (λ = 1.5418 Å).
Intensities are scaled so that the largest is 100.

Structural model:
abc: 7.7141 7.7141 7.6285
angles: 97.67 97.67 137.04
Fractional positions:
Dy 0.0000 0.0000 0.0000
Mg 0.0000 0.0000 0.5000
Mg 0.0000 0.5000 0.0000
Mg 0.0308 0.3614 0.3611
Mg 0.3048 0.5067 0.7813
Mg 0.3614 0.0308 0.3611
Mg 0.4933 0.6952 0.2187
Mg 0.5000 0.0000 0.0000
Mg 0.5067 0.3048 0.7813
Mg 0.6386 0.9692 0.6389
Mg 0.6952 0.4933 0.2187
Mg 0.9692 0.6386 0.6389
Rh 0.5000 0.5000 0.5000

Principal peaks in the range 2θ from 15° to 90°, sorted by position:
- 4.922 Å, I 71
- 3.550 Å, I 24
- 3.531 Å, I 69
- 3.183 Å, I 27
- 2.897 Å, I 46
- 2.522 Å, I 100
- 2.494 Å, I 37
- 2.470 Å, I 44
- 2.461 Å, I 38
- 1.565 Å, I 19


(6)
The following is a simulated XRD peak list of BaAg6Br8. It was derived from a crystal structure in Alexandria, relaxed with GGA-PBE, using Cu Kα (λ = 1.5418 Å).
Intensities are scaled so that the largest is 100.

Structural model:
abc: 7.6782 7.6782 7.6782
angles: 95.11 95.11 95.11
Fractional positions:
Ba 0.0000 0.0000 0.0000
Ag 0.1235 0.5788 0.3756
Ag 0.3756 0.1235 0.5788
Ag 0.4212 0.6244 0.8765
Ag 0.5788 0.3756 0.1235
Ag 0.6244 0.8765 0.4212
Ag 0.8765 0.4212 0.6244
Br 0.1760 0.3393 0.8007
Br 0.1993 0.8240 0.6607
Br 0.2929 0.2929 0.2929
Br 0.3393 0.8007 0.1760
Br 0.6607 0.1993 0.8240
Br 0.7071 0.7071 0.7071
Br 0.8007 0.1760 0.3393
Br 0.8240 0.6607 0.1993

Principal peaks in the range 2θ from 15° to 90°, sorted by position:
- 4.545 Å, I 30
- 4.019 Å, I 33
- 3.273 Å, I 42
- 3.159 Å, I 100
- 2.655 Å, I 43
- 2.568 Å, I 38
- 2.339 Å, I 26
- 2.141 Å, I 32
- 2.022 Å, I 26
- 1.890 Å, I 46


(7)
The following is a simulated XRD peak list of K2Tb2BiO6. It was derived from a crystal structure in Alexandria, relaxed with GGA-PBE, using Cu Kα (λ = 1.5418 Å).
Intensities are scaled so that the largest is 100.

Structural model:
abc: 6.0458 6.0458 6.6973
angles: 98.30 98.30 120.00
Fractional positions:
K 0.1656 0.8344 0.0000
K 0.8344 0.1656 0.0000
Tb 0.3346 0.6654 0.5000
Tb 0.6654 0.3346 0.5000
Bi 0.0000 0.0000 0.5000
O 0.0507 0.3902 0.6787
O 0.2667 0.2667 0.3199
O 0.3902 0.0507 0.6787
O 0.6098 0.9493 0.3213
O 0.7333 0.7333 0.6801
O 0.9493 0.6098 0.3213

Principal peaks in the range 2θ from 15° to 90°, sorted by position:
- 3.206 Å, I 56
- 2.986 Å, I 86
- 2.894 Å, I 38
- 2.879 Å, I 74
- 2.567 Å, I 100
- 2.545 Å, I 49
- 2.370 Å, I 24
- 2.040 Å, I 30
- 1.876 Å, I 34
- 1.745 Å, I 47